Computed powder diffractogram
Compound: Ho2Mg3Cd3
Radiation: Cu Kα, 1.54184 Å
Structure: a DFT-relaxed cell (PBE, Alexandria)

```
data_Ho2Mg3Cd3
_cell_length_a 5.0902
_cell_length_b 5.0902
_cell_length_c 24.9802
_cell_angle_alpha 90.00
_cell_angle_beta 90.00
_cell_angle_gamma 120.00
_symmetry_space_group_name_H-M 'R 3 m'
_symmetry_Int_Tables_number 160
_symmetry_space_group_name_Hall 'R 3 -2"'
loop_
_atom_site_label
_atom_site_fract_x
_atom_site_fract_y
_atom_site_fract_z
_atom_site_occupancy
Ho1 0.0000 0.0000 0.0000 1
Ho2 0.0000 0.0000 0.4946 1
Mg1 0.0000 0.0000 0.2463 1
Mg2 0.0000 0.0000 0.6213 1
Mg3 0.0000 0.0000 0.7478 1
Cd1 0.0000 0.0000 0.1231 1
Cd2 0.0000 0.0000 0.3690 1
Cd3 0.0000 0.0000 0.8758 1
```

Peak list (10 most intense, 10 to 90 degrees two-theta, low angle first)
two_theta	intensity	index
21.4	35	0 0 6
35.2	100	1 1 0
41.6	19	1 1 6
50.7	17	2 0 8
55.6	8	1 2 2
63.2	26	1 2 8
63.3	9	3 0 0
74.5	5	0 2 16
74.6	5	2 2 0
85.2	15	3 1 8